For NaCoGeSe3, a DFT-relaxed cell (PBE, OQMD) gives the computed PXRD pattern in this record (copper Kα).
Kinematic intensities with the Lorentz-polarization factor, no thermal factor.

a = 7.068 Å, b = 3.707 Å, c = 10.827 Å
α = 90.00°, β = 107.84°, γ = 90.00°
Fractional coordinates of all 12 atoms:
Na (0.034, 0.250, 0.188)
Na (0.966, 0.750, 0.812)
Co (0.462, 0.750, 0.852)
Co (0.538, 0.250, 0.148)
Ge (0.388, 0.250, 0.553)
Ge (0.612, 0.750, 0.447)
Se (0.213, 0.750, 0.637)
Se (0.312, 0.250, 0.933)
Se (0.370, 0.750, 0.221)
Se (0.630, 0.250, 0.779)
Se (0.688, 0.750, 0.067)
Se (0.787, 0.250, 0.363)

Peak list (6 most intense, 2θ from 5° to 70°, by intensity)
2theta, Rel. int., h k l
13.16, 100, 1 0 0
36.32, 88, 2 1 -2
50.65, 52, 0 1 5
30.29, 46, 1 1 -2
32.70, 40, 1 0 3
13.33, 22, 1 0 -1